(1)
This entry pairs a crystal structure of Zn10Ag4Au with its calculated XRD peak list. Radiation: copper Kα. Structure: a DFT-relaxed cell (PBE, Alexandria).
Kinematic intensities with the Lorentz-polarization factor, no thermal factor.

Cell and atoms:
a = 5.8383 Å, b = 5.8383 Å, c = 8.2316 Å
α = 109.21°, β = 109.21°, γ = 79.49°
Atoms (fractional coordinates):
Zn1 0.0237 0.3818 0.7983
Zn2 0.1798 0.8202 0.0000
Zn3 0.2203 0.5836 0.6000
Zn4 0.3818 0.0237 0.7983
Zn5 0.4164 0.7797 0.4000
Zn6 0.5836 0.2203 0.6000
Zn7 0.6182 0.9763 0.2017
Zn8 0.7797 0.4164 0.4000
Zn9 0.8202 0.1798 0.0000
Zn10 0.9763 0.6182 0.2017
Ag1 0.2025 0.2025 0.3006
Ag2 0.4002 0.4002 0.1006
Ag3 0.5998 0.5998 0.8994
Ag4 0.7975 0.7975 0.6994
Au1 0.0000 0.0000 0.5000

Main lines, by angle (10° ≤ 2θ ≤ 80°):
two_theta  Rel. int.
22.74  31
33.75  89
39.24  60
41.26  100
41.38  67
46.81  35
47.79  44
58.17  18

(2)
This entry pairs a crystal structure of Zn2Ag7Au3 with its calculated XRD peak list. Radiation: copper Kα. Structure: a DFT-relaxed cell (PBE, Alexandria).
Kinematic intensities with the Lorentz-polarization factor, no thermal factor.

Cell and atoms:
a = 2.9832 Å, b = 4.7998 Å, c = 15.6082 Å
α = 82.04°, β = 84.65°, γ = 89.80°
Atoms (fractional coordinates):
Zn1 0.1465 0.2560 0.2072
Zn2 0.8535 0.7440 0.7928
Ag1 0.0930 0.7117 0.3100
Ag2 0.1954 0.8034 0.1151
Ag3 0.4253 0.8034 0.6510
Ag4 0.5000 0.5000 0.5000
Ag5 0.5747 0.1966 0.3490
Ag6 0.8046 0.1966 0.8849
Ag7 0.9070 0.2883 0.6900
Au1 0.0000 0.0000 0.5000
Au2 0.2821 0.6810 0.9348
Au3 0.7179 0.3190 0.0652

Main lines, by angle (10° ≤ 2θ ≤ 80°):
two_theta  Rel. int.
11.50  42
29.01  54
35.80  43
35.95  46
38.04  44
39.45  48
39.63  46
42.90  100

(3)
This entry pairs a crystal structure of Zn4Ag2Au9 with its calculated XRD peak list. Radiation: copper Kα. Structure: a DFT-relaxed cell (PBE, Alexandria).
Kinematic intensities with the Lorentz-polarization factor, no thermal factor.

Cell and atoms:
a = 4.5258 Å, b = 4.5258 Å, c = 14.7623 Å
α = 90.00°, β = 90.00°, γ = 120.00°
Atoms (fractional coordinates):
Zn1 0.3333 0.6667 0.1537
Zn2 0.3333 0.6667 0.3752
Zn3 0.6667 0.3333 0.6248
Zn4 0.6667 0.3333 0.8463
Ag1 0.3333 0.6667 0.7739
Ag2 0.6667 0.3333 0.2261
Au1 0.0000 0.0000 0.1167
Au2 0.0000 0.0000 0.3103
Au3 0.0000 0.0000 0.5000
Au4 0.0000 0.0000 0.6897
Au5 0.0000 0.0000 0.8833
Au6 0.3333 0.6667 0.5799
Au7 0.3333 0.6667 0.9657
Au8 0.6667 0.3333 0.0343
Au9 0.6667 0.3333 0.4201

Main lines, by angle (10° ≤ 2θ ≤ 80°):
two_theta  Rel. int.
23.48  9
38.16  100
39.84  96
43.43  11
56.35  32
67.84  12
71.21  32
72.32  17

Please write out number 3 again, unchanged.
This entry pairs a crystal structure of Zn4Ag2Au9 with its calculated XRD peak list. Radiation: copper Kα. Structure: a DFT-relaxed cell (PBE, Alexandria).
Kinematic intensities with the Lorentz-polarization factor, no thermal factor.

Cell and atoms:
a = 4.5258 Å, b = 4.5258 Å, c = 14.7623 Å
α = 90.00°, β = 90.00°, γ = 120.00°
Atoms (fractional coordinates):
Zn1 0.3333 0.6667 0.1537
Zn2 0.3333 0.6667 0.3752
Zn3 0.6667 0.3333 0.6248
Zn4 0.6667 0.3333 0.8463
Ag1 0.3333 0.6667 0.7739
Ag2 0.6667 0.3333 0.2261
Au1 0.0000 0.0000 0.1167
Au2 0.0000 0.0000 0.3103
Au3 0.0000 0.0000 0.5000
Au4 0.0000 0.0000 0.6897
Au5 0.0000 0.0000 0.8833
Au6 0.3333 0.6667 0.5799
Au7 0.3333 0.6667 0.9657
Au8 0.6667 0.3333 0.0343
Au9 0.6667 0.3333 0.4201

Main lines, by angle (10° ≤ 2θ ≤ 80°):
two_theta  Rel. int.
23.48  9
38.16  100
39.84  96
43.43  11
56.35  32
67.84  12
71.21  32
72.32  17